1.
Structure and calculated powder diffraction line list of CsLiBr2 (DFT lattice parameters and positions (PBE); Cu Kα (λ = 1.5418 Å)).

Structure:
Cell: 4.444 5.012 7.737 Å, 92.13 90.14 90.01°
Sites, in units of the cell vectors:
Cs1 0.000 0.000 0.000
Li1 0.505 0.490 0.498
Br1 0.005 0.478 0.649
Br2 0.501 0.511 0.181

Peak list (12 most intense, 5 to 70 degrees two-theta, by angle)
| 2θ/deg | I_rel |
| --- | --- |
| 11.45 | 84 |
| 20.77 | 34 |
| 21.49 | 46 |
| 23.03 | 65 |
| 23.11 | 33 |
| 26.82 | 37 |
| 28.64 | 53 |
| 28.97 | 100 |
| 29.51 | 97 |
| 29.71 | 43 |
| 35.86 | 39 |
| 40.46 | 54 |


2.
Structure and calculated powder diffraction line list of Cs2LiNdBr6 (DFT lattice parameters and positions (PBE); Cu Kα (λ = 1.5418 Å)).

Structure:
Cell: 14.194 14.194 14.194 Å, 32.87 32.87 32.87°
Sites, in units of the cell vectors:
Cs1 0.127 0.127 0.127
Cs2 0.290 0.290 0.290
Cs3 0.710 0.710 0.710
Cs4 0.873 0.873 0.873
Li1 0.000 0.000 0.000
Li2 0.500 0.500 0.500
Nd1 0.413 0.413 0.413
Nd2 0.587 0.587 0.587
Br1 0.134 0.621 0.621
Br2 0.202 0.202 0.716
Br3 0.202 0.716 0.202
Br4 0.284 0.798 0.798
Br5 0.379 0.379 0.866
Br6 0.379 0.866 0.379
Br7 0.621 0.134 0.621
Br8 0.621 0.621 0.134
Br9 0.716 0.202 0.202
Br10 0.798 0.284 0.798
Br11 0.798 0.798 0.284
Br12 0.866 0.379 0.379

Peak list (12 most intense, 5 to 70 degrees two-theta, by angle)
| 2θ/deg | I_rel |
| --- | --- |
| 20.04 | 22 |
| 22.14 | 23 |
| 26.00 | 17 |
| 26.58 | 30 |
| 27.13 | 17 |
| 27.95 | 52 |
| 30.03 | 100 |
| 34.07 | 21 |
| 45.16 | 48 |
| 46.40 | 31 |
| 53.17 | 25 |
| 55.18 | 17 |


3.
Structure and calculated powder diffraction line list of CsLiPaBr6 (DFT lattice parameters and positions (PBE); Cu Kα (λ = 1.5418 Å)).

Structure:
Cell: 7.290 7.290 16.456 Å, 90.00 90.00 120.00°
Sites, in units of the cell vectors:
Cs1 0.000 0.000 0.000
Cs2 0.000 0.000 0.500
Li1 0.333 0.667 0.250
Li2 0.667 0.333 0.750
Pa1 0.333 0.667 0.750
Pa2 0.667 0.333 0.250
Br1 0.001 0.371 0.152
Br2 0.001 0.630 0.348
Br3 0.370 0.371 0.348
Br4 0.370 0.999 0.152
Br5 0.371 0.001 0.652
Br6 0.371 0.370 0.848
Br7 0.629 0.630 0.152
Br8 0.629 0.999 0.348
Br9 0.630 0.001 0.848
Br10 0.630 0.629 0.652
Br11 0.999 0.370 0.652
Br12 0.999 0.629 0.848

Peak list (12 most intense, 5 to 70 degrees two-theta, by angle)
| 2θ/deg | I_rel |
| --- | --- |
| 10.75 | 44 |
| 15.03 | 63 |
| 17.71 | 90 |
| 21.46 | 29 |
| 26.75 | 70 |
| 32.83 | 100 |
| 39.32 | 27 |
| 41.22 | 31 |
| 42.98 | 39 |
| 50.98 | 20 |
| 53.51 | 17 |
| 55.12 | 19 |


4.
Structure and calculated powder diffraction line list of CsLi3Pb4Br12 (DFT lattice parameters and positions (PBE); Cu Kα (λ = 1.5418 Å)).

Structure:
Cell: 9.648 9.648 9.648 Å, 109.47 109.47 109.47°
Sites, in units of the cell vectors:
Cs1 0.000 0.000 0.000
Li1 0.000 0.500 0.500
Li2 0.500 0.000 0.500
Li3 0.500 0.500 0.000
Pb1 0.000 0.000 0.500
Pb2 0.000 0.500 0.000
Pb3 0.500 0.000 0.000
Pb4 0.500 0.500 0.500
Br1 0.156 0.322 0.834
Br2 0.166 0.488 0.322
Br3 0.166 0.844 0.678
Br4 0.322 0.166 0.488
Br5 0.322 0.834 0.156
Br6 0.488 0.322 0.166
Br7 0.512 0.678 0.834
Br8 0.678 0.166 0.844
Br9 0.678 0.834 0.512
Br10 0.834 0.156 0.322
Br11 0.834 0.512 0.678
Br12 0.844 0.678 0.166

Peak list (12 most intense, 5 to 70 degrees two-theta, by angle)
| 2θ/deg | I_rel |
| --- | --- |
| 15.91 | 78 |
| 22.58 | 69 |
| 25.28 | 69 |
| 30.01 | 46 |
| 32.14 | 33 |
| 36.06 | 74 |
| 39.63 | 100 |
| 47.60 | 19 |
| 51.91 | 27 |
| 54.65 | 23 |
| 62.38 | 21 |
| 69.59 | 23 |